Entry 1:
Structure and theoretical powder diffractogram of Ga2Pt (a structure optimized by DFT (GGA-PBE); Cu Ka).

Most intense lines, 15 to 90 degrees two-theta, in order of rising 2θ:
d [Å], Position (°2θ), I/Imax, (hkl)
3.389, 26.30, 100, 2 0 4
2.896, 30.88, 15, 2 1 5
2.430, 36.99, 14, 2 1 7
2.186, 41.31, 29, 3 1 6
2.158, 41.87, 22, 4 0 0
2.084, 43.43, 28, 4 1 1
2.060, 43.96, 22, 1 1 10
2.038, 44.46, 52, 2 2 8
2.012, 45.05, 14, 4 1 3
2.000, 45.34, 15, 3 3 2

Structural model:
```
data_Ga2Pt
_chemical_formula_sum 'Ga64 Pt32'
_cell_length_a 8.6310
_cell_length_b 8.6310
_cell_length_c 21.8963
_cell_angle_alpha 90.00
_cell_angle_beta 90.00
_cell_angle_gamma 90.00
_symmetry_space_group_name_H-M 'I 41/a c d'
_symmetry_Int_Tables_number 142
loop_
_symmetry_equiv_pos_as_xyz
'x,y,z'
'-x,-y,-z'
'-y+1/4,x+3/4,z+1/4'
'y+1/4,-x+3/4,-z+1/4'
'-x+1/2,-y,z+1/2'
'x+1/2,y,-z+1/2'
'y+1/4,-x+1/4,z+3/4'
'-y+1/4,x+1/4,-z+3/4'
'x,-y,-z+1/2'
'-x,y,z+1/2'
'-y+1/4,-x+1/4,-z+1/4'
'y+1/4,x+1/4,z+1/4'
'-x+1/2,y,-z'
'x+1/2,-y,z'
'y+1/4,x+3/4,-z+3/4'
'-y+1/4,-x+3/4,z+3/4'
'x+1/2,y+1/2,z+1/2'
'-x+1/2,-y+1/2,-z+1/2'
'-y+3/4,x+1/4,z+3/4'
'y+3/4,-x+1/4,-z+3/4'
'-x,-y+1/2,z'
'x,y+1/2,-z'
'y+3/4,-x+3/4,z+1/4'
'-y+3/4,x+3/4,-z+1/4'
'x+1/2,-y+1/2,-z'
'-x+1/2,y+1/2,z'
'-y+3/4,-x+3/4,-z+3/4'
'y+3/4,x+3/4,z+3/4'
'-x,y+1/2,-z+1/2'
'x,-y+1/2,z+1/2'
'y+3/4,x+1/4,-z+1/4'
'-y+3/4,-x+1/4,z+1/4'
loop_
_atom_site_label
_atom_site_fract_x
_atom_site_fract_y
_atom_site_fract_z
_atom_site_occupancy
Ga1 0.0468 0.0255 0.3123 1
Ga2 0.0487 0.0245 0.4385 1
Pt1 0.0000 0.2500 0.0180 1
Pt2 0.1919 0.0581 0.6250 1
```

=====

Entry 2:
Structure and theoretical powder diffractogram of Sc4Ga3Pt (a structure optimized by DFT (GGA-PBE); Cu Ka).

Most intense lines, 15 to 90 degrees two-theta, in order of rising 2θ:
d [Å], Position (°2θ), I/Imax, (hkl)
5.251, 16.88, 42, 0 0 2
3.320, 26.85, 49, 1 0 1
3.295, 27.06, 25, 0 1 2
2.626, 34.15, 23, 0 0 4
2.612, 34.33, 100, 1 1 1
2.231, 40.43, 54, 0 1 4
2.136, 42.30, 98, 1 1 3
2.116, 42.74, 37, 0 2 0
1.750, 52.28, 25, 2 0 0
1.377, 68.10, 22, 2 1 4

Structural model:
```
data_Sc4Ga3Pt
_chemical_formula_sum 'Sc4 Ga3 Pt1'
_cell_length_a 3.4998
_cell_length_b 4.2312
_cell_length_c 10.5028
_cell_angle_alpha 90.00
_cell_angle_beta 90.00
_cell_angle_gamma 90.00
_symmetry_space_group_name_H-M 'P m m 2'
_symmetry_Int_Tables_number 25
_symmetry_space_group_name_Hall 'P 2 -2'
loop_
_atom_site_label
_atom_site_fract_x
_atom_site_fract_y
_atom_site_fract_z
_atom_site_occupancy
Sc1 0.0000 0.0000 0.0000 1
Sc2 0.0000 0.5000 0.2797 1
Sc3 0.5000 0.0000 0.4789 1
Sc4 0.5000 0.5000 0.7882 1
Ga1 0.0000 0.0000 0.7146 1
Ga2 0.0000 0.5000 0.5592 1
Ga3 0.5000 0.5000 0.0537 1
Pt1 0.5000 0.0000 0.2174 1
```

=====

Entry 3:
Structure and theoretical powder diffractogram of ScGaSiPt (a structure optimized by DFT (GGA-PBE); Cu Ka).

Most intense lines, 15 to 90 degrees two-theta, in order of rising 2θ:
d [Å], Position (°2θ), I/Imax, (hkl)
4.896, 18.12, 52, 0 2 0
3.890, 22.86, 36, 0 2 1
3.307, 26.96, 100, 1 1 1
2.681, 33.42, 30, 0 2 2
2.466, 36.44, 54, 1 1 2
2.391, 37.62, 79, 1 3 1
2.287, 39.40, 40, 0 4 1
2.100, 43.07, 39, 2 0 0
2.008, 45.15, 46, 1 3 2
1.869, 48.72, 45, 1 1 3

Structural model:
```
data_ScGaSiPt
_chemical_formula_sum 'Sc4 Ga4 Si4 Pt4'
_cell_length_a 4.2003
_cell_length_b 9.7915
_cell_length_c 6.4088
_cell_angle_alpha 90.00
_cell_angle_beta 90.00
_cell_angle_gamma 90.00
_symmetry_space_group_name_H-M 'C m c 21'
_symmetry_Int_Tables_number 36
_symmetry_space_group_name_Hall 'C 2c -2'
loop_
_atom_site_label
_atom_site_fract_x
_atom_site_fract_y
_atom_site_fract_z
_atom_site_occupancy
Sc1 0.0000 0.0814 0.0000 1
Ga1 0.0000 0.3881 0.1978 1
Si1 0.0000 0.3627 0.7930 1
Pt1 0.0000 0.2048 0.4884 1
```

=====

Entry 4:
Structure and theoretical powder diffractogram of Sc2Ga3SiPt2 (a structure optimized by DFT (GGA-PBE); Cu Ka).

Most intense lines, 15 to 90 degrees two-theta, in order of rising 2θ:
d [Å], Position (°2θ), I/Imax, (hkl)
4.900, 18.10, 100, 2 0 0
3.336, 26.72, 96, 1 1 -1
3.322, 26.84, 57, 1 1 1
2.487, 36.11, 78, 1 1 2
2.408, 37.34, 91, 3 1 -1
2.392, 37.60, 45, 3 1 1
2.284, 39.45, 44, 4 0 1
2.107, 42.92, 76, 0 2 0
2.014, 45.01, 55, 3 1 2
1.899, 47.92, 46, 1 1 -3

Structural model:
```
data_Sc2Ga3SiPt2
_chemical_formula_sum 'Sc4 Ga6 Si2 Pt4'
_cell_length_a 9.8003
_cell_length_b 4.2145
_cell_length_c 6.5179
_cell_angle_alpha 90.00
_cell_angle_beta 90.71
_cell_angle_gamma 90.00
_symmetry_space_group_name_H-M 'C 1 m 1'
_symmetry_Int_Tables_number 8
_symmetry_space_group_name_Hall 'C -2y'
loop_
_atom_site_label
_atom_site_fract_x
_atom_site_fract_y
_atom_site_fract_z
_atom_site_occupancy
Sc1 0.0000 0.0000 0.0000 1
Sc2 0.1629 0.0000 0.5080 1
Ga1 0.1985 0.5000 0.8035 1
Ga2 0.2119 0.5000 0.2104 1
Ga3 0.4543 0.0000 0.3032 1
Si1 0.4474 0.0000 0.7058 1
Pt1 0.2890 0.0000 0.9961 1
Pt2 0.3797 0.5000 0.5205 1
```

=====

Entry 5:
Structure and theoretical powder diffractogram of ScGaSiPt (a structure optimized by DFT (GGA-PBE); Cu Ka).

Most intense lines, 15 to 90 degrees two-theta, in order of rising 2θ:
d [Å], Position (°2θ), I/Imax, (hkl)
4.879, 18.18, 77, 2 0 0
3.835, 23.19, 30, 2 0 1
3.324, 26.82, 100, 1 1 -1
3.286, 27.14, 31, 1 1 1
3.238, 27.55, 31, 0 0 2
2.460, 36.53, 70, 1 1 2
2.409, 37.33, 83, 3 1 -1
2.258, 39.93, 40, 4 0 1
2.090, 43.28, 51, 0 2 0
1.986, 45.68, 38, 3 1 2

Structural model:
```
data_ScGaSiPt
_chemical_formula_sum 'Sc4 Ga4 Si4 Pt4'
_cell_length_a 9.7640
_cell_length_b 4.1809
_cell_length_c 6.4796
_cell_angle_alpha 90.00
_cell_angle_beta 91.95
_cell_angle_gamma 90.00
_symmetry_space_group_name_H-M 'C 1 2/m 1'
_symmetry_Int_Tables_number 12
_symmetry_space_group_name_Hall '-C 2y'
loop_
_atom_site_label
_atom_site_fract_x
_atom_site_fract_y
_atom_site_fract_z
_atom_site_occupancy
Sc1 0.0798 0.0000 0.2565 1
Ga1 0.1285 0.5000 0.9539 1
Si1 0.1209 0.5000 0.5497 1
Pt1 0.2053 0.0000 0.7259 1
```

=====

Entry 6:
Structure and theoretical powder diffractogram of SrGaSiPt2 (a structure optimized by DFT (GGA-PBE); Cu Ka).

Most intense lines, 15 to 90 degrees two-theta, in order of rising 2θ:
d [Å], Position (°2θ), I/Imax, (hkl)
3.364, 26.50, 22, 0 0 3
3.310, 26.94, 30, 1 0 2
2.964, 30.15, 42, 1 1 1
2.669, 33.58, 27, 1 0 3
2.642, 33.93, 100, 1 1 2
2.193, 41.17, 64, 2 0 0
1.957, 46.40, 40, 1 1 4
1.550, 59.64, 23, 2 2 0
1.407, 66.45, 23, 2 1 5
1.337, 70.41, 24, 3 1 2

Structural model:
```
data_SrGaSiPt2
_chemical_formula_sum 'Sr2 Ga2 Si2 Pt4'
_cell_length_a 4.3854
_cell_length_b 4.3854
_cell_length_c 10.0905
_cell_angle_alpha 90.00
_cell_angle_beta 90.00
_cell_angle_gamma 90.00
_symmetry_space_group_name_H-M 'P 4/n m m'
_symmetry_Int_Tables_number 129
loop_
_symmetry_equiv_pos_as_xyz
'x,y,z'
'-x,-y,-z'
'-y+1/2,x,z'
'y+1/2,-x,-z'
'-x+1/2,-y+1/2,z'
'x+1/2,y+1/2,-z'
'y,-x+1/2,z'
'-y,x+1/2,-z'
'x+1/2,-y,-z'
'-x+1/2,y,z'
'-y,-x,-z'
'y,x,z'
'-x,y+1/2,-z'
'x,-y+1/2,z'
'y+1/2,x+1/2,-z'
'-y+1/2,-x+1/2,z'
loop_
_atom_site_label
_atom_site_fract_x
_atom_site_fract_y
_atom_site_fract_z
_atom_site_occupancy
Sr1 0.2500 0.2500 0.2480 1
Ga1 0.2500 0.7500 0.5000 1
Si1 0.2500 0.2500 0.8817 1
Pt1 0.2500 0.2500 0.6412 1
Pt2 0.2500 0.7500 0.0000 1
```

=====

Entry 7:
Structure and theoretical powder diffractogram of SrYGa4Pt2 (a structure optimized by DFT (GGA-PBE); Cu Ka).

Most intense lines, 15 to 90 degrees two-theta, in order of rising 2θ:
d [Å], Position (°2θ), I/Imax, (hkl)
5.229, 16.95, 46, 0 0 2
3.498, 25.46, 40, 1 1 1
3.452, 25.81, 26, 2 0 0
2.629, 34.10, 76, 2 1 1
2.541, 35.32, 100, 1 1 3
2.445, 36.75, 52, 1 0 4
2.201, 41.01, 50, 0 2 0
2.143, 42.17, 54, 2 1 3
2.002, 45.30, 46, 3 1 1
1.636, 56.23, 31, 1 2 4

Structural model:
```
data_SrYGa4Pt2
_chemical_formula_sum 'Sr2 Y2 Ga8 Pt4'
_cell_length_a 6.9041
_cell_length_b 4.4018
_cell_length_c 10.4589
_cell_angle_alpha 90.00
_cell_angle_beta 90.00
_cell_angle_gamma 90.00
_symmetry_space_group_name_H-M 'A m m 2'
_symmetry_Int_Tables_number 38
_symmetry_space_group_name_Hall 'A 2 -2'
loop_
_atom_site_label
_atom_site_fract_x
_atom_site_fract_y
_atom_site_fract_z
_atom_site_occupancy
Sr1 0.0000 0.0000 0.0000 1
Y1 0.5000 0.0000 0.8400 1
Ga1 0.1994 0.0000 0.2849 1
Ga2 0.3095 0.0000 0.5581 1
Pt1 0.0000 0.0000 0.7146 1
Pt2 0.5000 0.0000 0.1273 1
```

=====

Entry 8:
Structure and theoretical powder diffractogram of TlGaPt2 (a structure optimized by DFT (GGA-PBE); Cu Ka).

Most intense lines, 15 to 90 degrees two-theta, in order of rising 2θ:
d [Å], Position (°2θ), I/Imax, (hkl)
3.475, 25.63, 45, 1 0 0
2.968, 30.11, 57, 1 0 1
2.206, 40.92, 100, 1 0 2
2.007, 45.19, 60, 1 1 0
1.669, 55.03, 9, 1 0 3
1.662, 55.26, 10, 2 0 1
1.484, 62.59, 29, 2 0 2
1.193, 80.49, 29, 2 1 2
1.163, 83.05, 18, 1 1 4
1.158, 83.44, 10, 3 0 0

Structural model:
```
data_TlGaPt2
_chemical_formula_sum 'Tl1 Ga1 Pt2'
_cell_length_a 4.0131
_cell_length_b 4.0131
_cell_length_c 5.7076
_cell_angle_alpha 90.00
_cell_angle_beta 90.00
_cell_angle_gamma 120.00
_symmetry_space_group_name_H-M 'P -6 m 2'
_symmetry_Int_Tables_number 187
_symmetry_space_group_name_Hall 'P -6 2'
loop_
_atom_site_label
_atom_site_fract_x
_atom_site_fract_y
_atom_site_fract_z
_atom_site_occupancy
Tl1 0.0000 0.0000 0.0000 1
Ga1 0.3333 0.6667 0.5000 1
Pt1 0.6667 0.3333 0.2688 1
```

=====

Entry 9:
Structure and theoretical powder diffractogram of U4Ga20Pt11 (a structure optimized by DFT (GGA-PBE); Cu Ka).

Most intense lines, 15 to 90 degrees two-theta, in order of rising 2θ:
d [Å], Position (°2θ), I/Imax, (hkl)
3.324, 26.82, 32, 0 0 4
2.664, 33.64, 23, 8 0 -4
2.548, 35.22, 68, 5 1 -5
2.492, 36.04, 37, 7 1 -3
2.455, 36.60, 83, 5 1 1
2.441, 36.82, 100, 1 1 4
2.146, 42.10, 90, 0 2 0
2.076, 43.60, 26, 1 1 -6
1.979, 45.86, 32, 9 1 -6
1.959, 46.34, 27, 5 1 3

Structural model:
```
data_U4Ga20Pt11
_chemical_formula_sum 'U8 Ga40 Pt22'
_cell_length_a 21.4283
_cell_length_b 4.2928
_cell_length_c 16.2195
_cell_angle_alpha 90.00
_cell_angle_beta 125.04
_cell_angle_gamma 90.00
_symmetry_space_group_name_H-M 'C 1 2/m 1'
_symmetry_Int_Tables_number 12
_symmetry_space_group_name_Hall '-C 2y'
loop_
_atom_site_label
_atom_site_fract_x
_atom_site_fract_y
_atom_site_fract_z
_atom_site_occupancy
U1 0.1197 0.0000 0.3321 1
U2 0.2252 0.0000 0.8206 1
Ga1 0.0064 0.0000 0.0881 1
Ga2 0.0447 0.5000 0.3764 1
Ga3 0.0654 0.0000 0.8051 1
Ga4 0.1016 0.5000 0.9981 1
Ga5 0.1042 0.0000 0.5476 1
Ga6 0.1127 0.5000 0.6970 1
Ga7 0.1344 0.5000 0.2011 1
Ga8 0.1982 0.0000 0.0049 1
Ga9 0.1987 0.5000 0.4973 1
Ga10 0.2435 0.5000 0.7030 1
Pt1 0.0000 0.5000 0.5000 1
Pt2 0.0089 0.5000 0.1885 1
Pt3 0.0277 0.0000 0.6280 1
Pt4 0.1352 0.0000 0.1064 1
Pt5 0.1571 0.5000 0.8894 1
Pt6 0.2420 0.0000 0.6104 1
```

=====

Entry 10:
Structure and theoretical powder diffractogram of GaPtW (a structure optimized by DFT (GGA-PBE); Cu Ka).

Most intense lines, 15 to 90 degrees two-theta, in order of rising 2θ:
d [Å], Position (°2θ), I/Imax, (hkl)
3.496, 25.48, 59, 1 1 1
3.027, 29.51, 5, 2 0 0
2.141, 42.22, 100, 2 2 0
1.826, 49.96, 29, 3 1 1
1.748, 52.34, 1, 2 2 2
1.514, 61.24, 17, 4 0 0
1.389, 67.42, 12, 3 3 1
1.354, 69.42, 2, 4 2 0
1.236, 77.18, 34, 4 2 2
1.165, 82.85, 9, 5 1 1

Structural model:
```
data_GaPtW
_chemical_formula_sum 'Ga4 Pt4 W4'
_cell_length_a 6.0547
_cell_length_b 6.0547
_cell_length_c 6.0547
_cell_angle_alpha 90.00
_cell_angle_beta 90.00
_cell_angle_gamma 90.00
_symmetry_space_group_name_H-M 'F -4 3 m'
_symmetry_Int_Tables_number 216
_symmetry_space_group_name_Hall 'F -4 2 3'
loop_
_atom_site_label
_atom_site_fract_x
_atom_site_fract_y
_atom_site_fract_z
_atom_site_occupancy
Ga1 0.0000 0.0000 0.0000 1
Pt1 0.0000 0.0000 0.5000 1
W1 0.2500 0.2500 0.2500 1
```

=====

Entry 11:
Structure and theoretical powder diffractogram of YZnGa2Pt4 (a structure optimized by DFT (GGA-PBE); Cu Ka).

Most intense lines, 15 to 90 degrees two-theta, in order of rising 2θ:
d [Å], Position (°2θ), I/Imax, (hkl)
3.517, 25.32, 12, 0 0 2
3.067, 29.12, 21, 1 1 0
2.312, 38.96, 100, 1 1 2
2.169, 41.65, 45, 2 0 0
1.846, 49.37, 8, 2 0 2
1.759, 52.00, 8, 0 0 4
1.533, 60.36, 15, 2 2 0
1.366, 68.72, 14, 2 0 4
1.278, 74.21, 36, 3 1 2
1.156, 83.68, 8, 2 2 4

Structural model:
```
data_YZnGa2Pt4
_chemical_formula_sum 'Y1 Zn1 Ga2 Pt4'
_cell_length_a 4.3371
_cell_length_b 4.3371
_cell_length_c 7.0344
_cell_angle_alpha 90.00
_cell_angle_beta 90.00
_cell_angle_gamma 90.00
_symmetry_space_group_name_H-M 'P 4/m m m'
_symmetry_Int_Tables_number 123
_symmetry_space_group_name_Hall '-P 4 2'
loop_
_atom_site_label
_atom_site_fract_x
_atom_site_fract_y
_atom_site_fract_z
_atom_site_occupancy
Y1 0.0000 0.0000 0.0000 1
Zn1 0.5000 0.5000 0.5000 1
Ga1 0.0000 0.0000 0.5000 1
Ga2 0.5000 0.5000 0.0000 1
Pt1 0.0000 0.5000 0.2778 1
```

=====

Entry 12:
Structure and theoretical powder diffractogram of Pu2Zn15Ga2 (a structure optimized by DFT (GGA-PBE); Cu Ka).

Most intense lines, 15 to 90 degrees two-theta, in order of rising 2θ:
d [Å], Position (°2θ), I/Imax, (hkl)
3.127, 28.55, 41, 1 1 3
2.601, 34.48, 46, 3 0 0
2.501, 35.91, 19, 0 2 4
2.253, 40.03, 54, 2 2 0
2.232, 40.42, 100, 0 3 3
2.170, 41.62, 43, 0 0 6
1.563, 59.09, 19, 2 2 6
1.419, 65.80, 19, 3 3 3
1.301, 72.70, 19, 6 0 0
1.265, 75.09, 20, 0 3 9

Structural model:
```
data_Pu2Zn15Ga2
_chemical_formula_sum 'Pu6 Zn45 Ga6'
_cell_length_a 9.0107
_cell_length_b 9.0107
_cell_length_c 13.0308
_cell_angle_alpha 90.00
_cell_angle_beta 90.00
_cell_angle_gamma 120.00
_symmetry_space_group_name_H-M 'R -3 m'
_symmetry_Int_Tables_number 166
_symmetry_space_group_name_Hall '-R 3 2"'
loop_
_atom_site_label
_atom_site_fract_x
_atom_site_fract_y
_atom_site_fract_z
_atom_site_occupancy
Pu1 0.0000 0.0000 0.1661 1
Zn1 0.0000 0.3074 0.5000 1
Zn2 0.0000 0.5000 0.0000 1
Zn3 0.0136 0.5068 0.6540 1
Ga1 0.0000 0.0000 0.3990 1
```